1.
Starting from a DFT-relaxed cell (PBE, Alexandria), the powder XRD pattern of Nd2MgGa3Ir4 was simulated for a wavelength of 1.5418 Å.

Top 10 peaks for 5 to 70 degrees two-theta, in order of rising 2θ:
Position (°2θ)  I_rel
8.29  26.2
30.96  27.0
32.87  48.2
34.29  100.0
42.60  64.5
45.52  30.8
47.73  30.0
54.84  22.5
61.83  21.4
65.88  22.8

Structure:
```
10
Lattice="4.244 0.000 0.000 0.000 4.244 0.000 0.000 0.000 10.661" Properties=species:S:1:pos:R:3 pbc="T T T"
Nd 0.000 2.122 2.521
Nd 2.122 0.000 8.140
Mg 0.000 0.000 5.331
Ga 0.000 2.122 9.341
Ga 2.122 0.000 1.320
Ga 2.122 2.122 5.331
Ir 0.000 0.000 0.000
Ir 0.000 2.122 6.852
Ir 2.122 0.000 3.809
Ir 2.122 2.122 0.000
```

---

2.
Starting from a DFT-relaxed cell (PBE, Alexandria), the powder XRD pattern of Dy2Ge5Pt3 was simulated for a wavelength of 1.5418 Å.

Top 10 peaks for 5 to 70 degrees two-theta, in order of rising 2θ:
Position (°2θ)  I_rel
25.25  21.8
26.51  18.6
34.64  100.0
35.37  60.2
38.99  26.4
39.11  25.8
41.66  48.0
45.37  27.1
47.17  22.1
67.37  17.7

Structure:
```
20
Lattice="2.168 -12.232 0.000 2.168 12.232 0.000 0.000 0.000 7.032" Properties=species:S:1:pos:R:3 pbc="T T T"
Dy 2.168 11.722 3.516
Dy 2.168 4.255 3.486
Dy 2.168 -4.255 7.002
Dy 2.168 -11.722 0.000
Ge 2.168 9.743 1.017
Ge 2.168 7.245 4.774
Ge 2.168 7.061 1.849
Ge 2.168 2.909 0.162
Ge 2.168 1.167 2.384
Ge 2.168 -1.167 5.901
Ge 2.168 -2.909 3.678
Ge 2.168 -7.061 5.365
Ge 2.168 -7.245 1.258
Ge 2.168 -9.743 4.533
Pt 2.168 9.663 5.444
Pt 2.168 5.453 6.737
Pt 2.168 1.339 5.056
Pt 2.168 -1.339 1.540
Pt 2.168 -5.453 3.221
Pt 2.168 -9.663 1.928
```